# 1
This entry pairs a crystal structure of K5BiO4F2 with its simulated powder X-ray diffraction pattern. Radiation: Cu Kα X-rays. Structure: a DFT-relaxed cell (GGA-PBE, Alexandria).

Atomic structure:
```
data_K5BiO4F2
_space_group_name_H-M_alt 'A m m 2'
_space_group_IT_number 38
_cell_length_a 7.743
_cell_length_b 10.657
_cell_length_c 6.432
_cell_angle_alpha 90.00
_cell_angle_beta 90.00
_cell_angle_gamma 90.00
loop_
_space_group_symop_operation_xyz
'x,y,z'
'-x,-y,z'
'-x,y,z'
'x,-y,z'
'x,y+1/2,z+1/2'
'-x,-y+1/2,z+1/2'
'-x,y+1/2,z+1/2'
'x,-y+1/2,z+1/2'
loop_
_atom_site_label
_atom_site_type_symbol
_atom_site_fract_x
_atom_site_fract_y
_atom_site_fract_z
K1 K 0.000 0.000 0.000
K2 K 0.253 0.186 0.499
Bi1 Bi 0.500 0.000 0.016
O1 O 0.289 0.000 0.208
O2 O 0.500 0.155 0.829
F1 F 0.000 0.199 0.770
```

Top 10 peaks for 15° ≤ 2θ ≤ 90°, by angle:
- hkl 0 1 1, d = 5.507 Å, I = 76
- hkl 1 1 1, d = 4.487 Å, I = 68
- hkl 1 2 0, d = 4.389 Å, I = 39
- hkl 0 0 2, d = 3.216 Å, I = 27
- hkl 2 1 1, d = 3.167 Å, I = 100
- hkl 2 2 0, d = 3.132 Å, I = 40
- hkl 0 3 1, d = 3.110 Å, I = 79
- hkl 2 2 2, d = 2.244 Å, I = 67
- hkl 2 5 1, d = 1.793 Å, I = 29
- hkl 4 3 1, d = 1.643 Å, I = 21

***

# 2
This entry pairs a crystal structure of La2BiF11 with its simulated powder X-ray diffraction pattern. Radiation: Cu Kα X-rays. Structure: a DFT-relaxed cell (GGA-PBE, Alexandria).

Atomic structure:
```
data_La2BiF11
_space_group_name_H-M_alt 'I b a m'
_space_group_IT_number 72
_space_group_name_Hall '-I 2 2c'
_cell_length_a 8.501
_cell_length_b 10.768
_cell_length_c 11.142
_cell_angle_alpha 90.00
_cell_angle_beta 90.00
_cell_angle_gamma 90.00
loop_
_atom_site_label
_atom_site_type_symbol
_atom_site_fract_x
_atom_site_fract_y
_atom_site_fract_z
La1 La 0.141 0.182 0.000
Bi1 Bi 0.000 0.500 0.250
F1 F 0.000 0.000 0.000
F2 F 0.087 0.342 0.151
F3 F 0.126 0.218 0.500
F4 F 0.195 0.437 0.356
```

Top 10 peaks for 15° ≤ 2θ ≤ 90°, by angle:
- hkl 1 1 2, d = 4.276 Å, I = 100
- hkl 1 2 1, d = 4.211 Å, I = 24
- hkl 0 2 2, d = 3.871 Å, I = 63
- hkl 2 1 1, d = 3.726 Å, I = 36
- hkl 2 0 2, d = 3.379 Å, I = 15
- hkl 1 3 0, d = 3.307 Å, I = 24
- hkl 2 2 4, d = 2.138 Å, I = 15
- hkl 1 3 4, d = 2.130 Å, I = 26
- hkl 3 3 2, d = 2.066 Å, I = 31
- hkl 1 5 2, d = 1.954 Å, I = 33

***

# 3
This entry pairs a crystal structure of La2Bi2S4OF with its simulated powder X-ray diffraction pattern. Radiation: Cu Kα X-rays. Structure: a DFT-relaxed cell (GGA-PBE, Alexandria).

Atomic structure:
```
data_La2Bi2S4OF
_space_group_name_H-M_alt 'P -4 m 2'
_space_group_IT_number 115
_cell_length_a 4.086
_cell_length_b 4.086
_cell_length_c 13.398
_cell_angle_alpha 90.00
_cell_angle_beta 90.00
_cell_angle_gamma 90.00
loop_
_space_group_symop_operation_xyz
'x,y,z'
'y,-x,-z'
'-x,-y,z'
'-y,x,-z'
'-x,y,z'
'-y,-x,-z'
'x,-y,z'
'y,x,-z'
loop_
_atom_site_label
_atom_site_type_symbol
_atom_site_fract_x
_atom_site_fract_y
_atom_site_fract_z
La1 La 0.000 0.500 0.106
Bi1 Bi 0.000 0.500 0.616
S1 S 0.000 0.500 0.383
S2 S 0.000 0.500 0.814
O1 O 0.000 0.000 0.000
F1 F 0.500 0.500 0.000
```

Top 10 peaks for 15° ≤ 2θ ≤ 90°, by angle:
- hkl 1 0 2, d = 3.488 Å, I = 100
- hkl 0 0 4, d = 3.349 Å, I = 33
- hkl 1 1 0, d = 2.889 Å, I = 62
- hkl 1 1 4, d = 2.188 Å, I = 51
- hkl 2 0 0, d = 2.043 Å, I = 27
- hkl 1 0 6, d = 1.959 Å, I = 22
- hkl 2 1 2, d = 1.763 Å, I = 31
- hkl 2 0 4, d = 1.744 Å, I = 21
- hkl 2 1 6, d = 1.414 Å, I = 16
- hkl 3 1 4, d = 1.205 Å, I = 15

***

# 4
This entry pairs a crystal structure of La4Bi4S8O3F with its simulated powder X-ray diffraction pattern. Radiation: Cu Kα X-rays. Structure: a DFT-relaxed cell (GGA-PBE, Alexandria).

Atomic structure:
```
data_La4Bi4S8O3F
_space_group_name_H-M_alt 'I -4 2 m'
_space_group_IT_number 121
_space_group_name_Hall 'I -4 2'
_cell_length_a 5.755
_cell_length_b 5.755
_cell_length_c 27.602
_cell_angle_alpha 90.00
_cell_angle_beta 90.00
_cell_angle_gamma 90.00
loop_
_atom_site_label
_atom_site_type_symbol
_atom_site_fract_x
_atom_site_fract_y
_atom_site_fract_z
La1 La 0.239 0.239 0.048
Bi1 Bi 0.249 0.249 0.311
S1 S 0.240 0.240 0.195
S2 S 0.247 0.247 0.406
O1 O 0.000 0.000 0.000
O2 O 0.000 0.500 0.000
F1 F 0.000 0.000 0.500
```

Top 10 peaks for 15° ≤ 2θ ≤ 90°, by angle:
- hkl 1 1 4, d = 3.505 Å, I = 100
- hkl 0 0 8, d = 3.450 Å, I = 33
- hkl 2 0 0, d = 2.877 Å, I = 61
- hkl 2 0 8, d = 2.210 Å, I = 48
- hkl 2 2 0, d = 2.035 Å, I = 26
- hkl 1 1 12, d = 2.002 Å, I = 20
- hkl 3 1 4, d = 1.760 Å, I = 30
- hkl 2 2 8, d = 1.753 Å, I = 19
- hkl 3 1 12, d = 1.427 Å, I = 14
- hkl 4 2 8, d = 1.206 Å, I = 13

***

# 5
This entry pairs a crystal structure of LiBiF with its simulated powder X-ray diffraction pattern. Radiation: Cu Kα X-rays. Structure: a DFT-relaxed cell (GGA-PBE, Alexandria).

Atomic structure:
```
data_LiBiF
_space_group_name_H-M_alt 'C m c 21'
_space_group_IT_number 36
_cell_length_a 3.402
_cell_length_b 19.109
_cell_length_c 4.040
_cell_angle_alpha 90.00
_cell_angle_beta 90.00
_cell_angle_gamma 90.00
loop_
_space_group_symop_operation_xyz
'x,y,z'
'-x,-y,z+1/2'
'-x,y,z'
'x,-y,z+1/2'
'x+1/2,y+1/2,z'
'-x+1/2,-y+1/2,z+1/2'
'-x+1/2,y+1/2,z'
'x+1/2,-y+1/2,z+1/2'
loop_
_atom_site_label
_atom_site_type_symbol
_atom_site_fract_x
_atom_site_fract_y
_atom_site_fract_z
Li1 Li 0.000 0.236 0.000
Bi1 Bi 0.000 0.443 0.505
F1 F 0.000 0.223 0.500
```

Top 10 peaks for 15° ≤ 2θ ≤ 90°, by angle:
- hkl 0 2 1, d = 3.721 Å, I = 58
- hkl 1 1 0, d = 3.349 Å, I = 95
- hkl 0 4 1, d = 3.085 Å, I = 100
- hkl 1 3 0, d = 3.001 Å, I = 24
- hkl 0 6 1, d = 2.501 Å, I = 31
- hkl 1 3 1, d = 2.409 Å, I = 64
- hkl 1 5 1, d = 2.151 Å, I = 71
- hkl 1 9 0, d = 1.801 Å, I = 24
- hkl 1 1 2, d = 1.729 Å, I = 35
- hkl 2 4 1, d = 1.489 Å, I = 23

***

# 6
This entry pairs a crystal structure of Li2BiF8 with its simulated powder X-ray diffraction pattern. Radiation: Cu Kα X-rays. Structure: a DFT-relaxed cell (GGA-PBE, Alexandria).

Atomic structure:
```
data_Li2BiF8
_space_group_name_H-M_alt 'I 4 2 2'
_space_group_IT_number 97
_space_group_name_Hall 'I 4 2'
_cell_length_a 5.582
_cell_length_b 5.582
_cell_length_c 10.144
_cell_angle_alpha 90.00
_cell_angle_beta 90.00
_cell_angle_gamma 90.00
loop_
_atom_site_label
_atom_site_type_symbol
_atom_site_fract_x
_atom_site_fract_y
_atom_site_fract_z
Li1 Li 0.000 0.500 0.250
Bi1 Bi 0.000 0.000 0.000
F1 F 0.131 0.289 0.883
```

Top 10 peaks for 15° ≤ 2θ ≤ 90°, by angle:
- hkl 0 0 2, d = 5.072 Å, I = 22
- hkl 1 0 1, d = 4.890 Å, I = 100
- hkl 1 1 0, d = 3.947 Å, I = 15
- hkl 1 1 2, d = 3.115 Å, I = 28
- hkl 1 0 3, d = 2.892 Å, I = 17
- hkl 2 0 2, d = 2.445 Å, I = 12
- hkl 2 1 1, d = 2.424 Å, I = 22
- hkl 2 1 3, d = 2.008 Å, I = 22
- hkl 2 0 4, d = 1.877 Å, I = 12
- hkl 3 1 2, d = 1.667 Å, I = 11

***

# 7
This entry pairs a crystal structure of LiBi2F7 with its simulated powder X-ray diffraction pattern. Radiation: Cu Kα X-rays. Structure: a DFT-relaxed cell (GGA-PBE, Alexandria).

Atomic structure:
```
data_LiBi2F7
_space_group_name_H-M_alt 'R -3 m'
_space_group_IT_number 166
_space_group_name_Hall '-R 3 2"'
_cell_length_a 4.1254
_cell_length_b 4.1254
_cell_length_c 31.0740
_cell_angle_alpha 90.00
_cell_angle_beta 90.00
_cell_angle_gamma 120.00
loop_
_atom_site_label
_atom_site_type_symbol
_atom_site_fract_x
_atom_site_fract_y
_atom_site_fract_z
Li1 Li 0.0000 0.0000 0.0000
Bi1 Bi 0.0000 0.0000 0.4252
F1 F 0.0000 0.0000 0.0700
F2 F 0.0000 0.0000 0.2282
F3 F 0.0000 0.0000 0.3552
F4 F 0.0000 0.0000 0.5000
```

Top 10 peaks for 15° ≤ 2θ ≤ 90°, by angle:
- hkl 0 0 6, d = 5.179 Å, I = 98
- hkl 1 0 1, d = 3.549 Å, I = 100
- hkl 0 1 2, d = 3.482 Å, I = 43
- hkl 0 1 5, d = 3.097 Å, I = 43
- hkl 1 0 7, d = 2.783 Å, I = 31
- hkl 0 1 8, d = 2.630 Å, I = 33
- hkl 1 1 0, d = 2.063 Å, I = 52
- hkl 1 0 13, d = 1.987 Å, I = 23
- hkl 1 1 6, d = 1.916 Å, I = 45
- hkl 0 1 14, d = 1.885 Å, I = 33

***

# 8
This entry pairs a crystal structure of Li3BiF7 with its simulated powder X-ray diffraction pattern. Radiation: Cu Kα X-rays. Structure: a DFT-relaxed cell (GGA-PBE, Alexandria).

Atomic structure:
```
data_Li3BiF7
_space_group_name_H-M_alt 'C 1 m 1'
_space_group_IT_number 8
_cell_length_a 8.073
_cell_length_b 6.700
_cell_length_c 5.715
_cell_angle_alpha 90.00
_cell_angle_beta 115.60
_cell_angle_gamma 90.00
loop_
_space_group_symop_operation_xyz
'x,y,z'
'x,-y,z'
'x+1/2,y+1/2,z'
'x+1/2,-y+1/2,z'
loop_
_atom_site_label
_atom_site_type_symbol
_atom_site_fract_x
_atom_site_fract_y
_atom_site_fract_z
Li1 Li 0.000 0.000 0.000
Li2 Li 0.123 0.259 0.622
Bi1 Bi 0.492 0.000 0.053
F1 F 0.104 0.214 0.260
F2 F 0.186 0.000 0.849
F3 F 0.226 0.500 0.956
F4 F 0.407 0.249 0.757
F5 F 0.486 0.000 0.435
```

Top 10 peaks for 15° ≤ 2θ ≤ 90°, by angle:
- hkl 0 0 1, d = 5.153 Å, I = 55
- hkl 1 1 0, d = 4.930 Å, I = 100
- hkl 1 1 -1, d = 4.235 Å, I = 53
- hkl 2 0 -1, d = 3.862 Å, I = 33
- hkl 2 0 0, d = 3.640 Å, I = 28
- hkl 1 1 1, d = 3.134 Å, I = 26
- hkl 0 2 1, d = 2.809 Å, I = 31
- hkl 1 1 -2, d = 2.620 Å, I = 21
- hkl 3 1 0, d = 2.282 Å, I = 18
- hkl 4 0 -1, d = 2.008 Å, I = 24

***

# 9
This entry pairs a crystal structure of Li2BiF8 with its simulated powder X-ray diffraction pattern. Radiation: Cu Kα X-rays. Structure: a DFT-relaxed cell (GGA-PBE, Alexandria).

Atomic structure:
```
data_Li2BiF8
_space_group_name_H-M_alt 'P 1'
_space_group_IT_number 1
_cell_length_a 5.499
_cell_length_b 5.501
_cell_length_c 6.206
_cell_angle_alpha 100.28
_cell_angle_beta 115.75
_cell_angle_gamma 107.71
loop_
_space_group_symop_operation_xyz
'x,y,z'
loop_
_atom_site_label
_atom_site_type_symbol
_atom_site_fract_x
_atom_site_fract_y
_atom_site_fract_z
Li1 Li 0.000 0.000 0.000
Li2 Li 0.238 0.393 0.632
Bi1 Bi 0.590 0.673 0.260
F1 F 0.000 0.609 0.602
F2 F 0.233 0.314 0.934
F3 F 0.281 0.830 0.109
F4 F 0.386 0.398 0.390
F5 F 0.619 0.700 0.931
F6 F 0.681 0.926 0.602
F7 F 0.813 0.418 0.227
F8 F 0.991 0.007 0.384
```

Top 10 peaks for 15° ≤ 2θ ≤ 90°, by angle:
- hkl 0 0 1, d = 5.211 Å, I = 56
- hkl 0 1 0, d = 4.879 Å, I = 100
- hkl 1 0 0, d = 4.465 Å, I = 57
- hkl 1 -1 0, d = 4.364 Å, I = 46
- hkl -1 1 1, d = 3.701 Å, I = 17
- hkl 1 1 -1, d = 3.244 Å, I = 21
- hkl 0 1 1, d = 3.050 Å, I = 23
- hkl 1 1 0, d = 2.758 Å, I = 17
- hkl 1 1 -2, d = 2.749 Å, I = 17
- hkl 2 -1 0, d = 2.474 Å, I = 19

***

# 10
This entry pairs a crystal structure of LiBiF5 with its simulated powder X-ray diffraction pattern. Radiation: Cu Kα X-rays. Structure: a DFT-relaxed cell (GGA-PBE, Alexandria).

Atomic structure:
```
data_LiBiF5
_space_group_name_H-M_alt 'I -4'
_space_group_IT_number 82
_cell_length_a 7.128
_cell_length_b 7.128
_cell_length_c 4.425
_cell_angle_alpha 90.00
_cell_angle_beta 90.00
_cell_angle_gamma 90.00
loop_
_space_group_symop_operation_xyz
'x,y,z'
'y,-x,-z'
'-x,-y,z'
'-y,x,-z'
'x+1/2,y+1/2,z+1/2'
'y+1/2,-x+1/2,-z+1/2'
'-x+1/2,-y+1/2,z+1/2'
'-y+1/2,x+1/2,-z+1/2'
loop_
_atom_site_label
_atom_site_type_symbol
_atom_site_fract_x
_atom_site_fract_y
_atom_site_fract_z
Li1 Li 0.000 0.000 0.000
Bi1 Bi 0.000 0.500 0.750
F1 F 0.000 0.500 0.250
F2 F 0.081 0.211 0.771
```

Top 10 peaks for 15° ≤ 2θ ≤ 90°, by angle:
- hkl 1 1 0, d = 5.040 Å, I = 92
- hkl 1 0 1, d = 3.759 Å, I = 100
- hkl 2 0 0, d = 3.564 Å, I = 46
- hkl 2 1 1, d = 2.586 Å, I = 42
- hkl 3 1 0, d = 2.254 Å, I = 36
- hkl 3 0 1, d = 2.093 Å, I = 22
- hkl 1 1 2, d = 2.026 Å, I = 20
- hkl 3 2 1, d = 1.805 Å, I = 24
- hkl 4 1 1, d = 1.610 Å, I = 19
- hkl 3 1 2, d = 1.579 Å, I = 25

***

# 11
This entry pairs a crystal structure of LiBiF4 with its simulated powder X-ray diffraction pattern. Radiation: Cu Kα X-rays. Structure: a DFT-relaxed cell (GGA-PBE, Alexandria).

Atomic structure:
```
data_LiBiF4
_space_group_name_H-M_alt 'I 41/a m d'
_space_group_IT_number 141
_cell_length_a 7.266
_cell_length_b 7.266
_cell_length_c 6.798
_cell_angle_alpha 90.00
_cell_angle_beta 90.00
_cell_angle_gamma 90.00
loop_
_space_group_symop_operation_xyz
'x,y,z'
'-x,-y,-z'
'-y+1/4,x+3/4,z+1/4'
'y+1/4,-x+3/4,-z+1/4'
'-x+1/2,-y,z+1/2'
'x+1/2,y,-z+1/2'
'y+1/4,-x+1/4,z+3/4'
'-y+1/4,x+1/4,-z+3/4'
'x,-y,-z'
'-x,y,z'
'-y+1/4,-x+1/4,-z+3/4'
'y+1/4,x+1/4,z+3/4'
'-x+1/2,y,-z+1/2'
'x+1/2,-y,z+1/2'
'y+1/4,x+3/4,-z+1/4'
'-y+1/4,-x+3/4,z+1/4'
'x+1/2,y+1/2,z+1/2'
'-x+1/2,-y+1/2,-z+1/2'
'-y+3/4,x+1/4,z+3/4'
'y+3/4,-x+1/4,-z+3/4'
'-x,-y+1/2,z'
'x,y+1/2,-z'
'y+3/4,-x+3/4,z+1/4'
'-y+3/4,x+3/4,-z+1/4'
'x+1/2,-y+1/2,-z+1/2'
'-x+1/2,y+1/2,z+1/2'
'-y+3/4,-x+3/4,-z+1/4'
'y+3/4,x+3/4,z+1/4'
'-x,y+1/2,-z'
'x,-y+1/2,z'
'y+3/4,x+1/4,-z+3/4'
'-y+3/4,-x+1/4,z+3/4'
loop_
_atom_site_label
_atom_site_type_symbol
_atom_site_fract_x
_atom_site_fract_y
_atom_site_fract_z
Li1 Li 0.000 0.250 0.375
Bi1 Bi 0.000 0.250 0.875
F1 F 0.000 0.068 0.178
```

Top 10 peaks for 15° ≤ 2θ ≤ 90°, by angle:
- hkl 1 0 1, d = 4.964 Å, I = 100
- hkl 2 0 0, d = 3.633 Å, I = 59
- hkl 2 1 1, d = 2.932 Å, I = 36
- hkl 1 1 2, d = 2.835 Å, I = 42
- hkl 2 2 0, d = 2.569 Å, I = 12
- hkl 3 0 1, d = 2.281 Å, I = 25
- hkl 1 0 3, d = 2.163 Å, I = 19
- hkl 3 2 1, d = 1.932 Å, I = 22
- hkl 3 1 2, d = 1.904 Å, I = 41
- hkl 3 3 2, d = 1.529 Å, I = 14

***

# 12
This entry pairs a crystal structure of Li3BiF with its simulated powder X-ray diffraction pattern. Radiation: Cu Kα X-rays. Structure: a DFT-relaxed cell (GGA-PBE, Alexandria).

Atomic structure:
```
data_Li3BiF
_space_group_name_H-M_alt 'C 1 2/m 1'
_space_group_IT_number 12
_cell_length_a 12.521
_cell_length_b 4.772
_cell_length_c 6.431
_cell_angle_alpha 90.00
_cell_angle_beta 108.46
_cell_angle_gamma 90.00
loop_
_space_group_symop_operation_xyz
'x,y,z'
'-x,-y,-z'
'-x,y,-z'
'x,-y,z'
'x+1/2,y+1/2,z'
'-x+1/2,-y+1/2,-z'
'-x+1/2,y+1/2,-z'
'x+1/2,-y+1/2,z'
loop_
_atom_site_label
_atom_site_type_symbol
_atom_site_fract_x
_atom_site_fract_y
_atom_site_fract_z
Li1 Li 0.097 0.000 0.175
Li2 Li 0.156 0.000 0.744
Li3 Li 0.162 0.500 0.451
Bi1 Bi 0.112 0.500 0.933
F1 F 0.177 0.000 0.470
```

Top 10 peaks for 15° ≤ 2θ ≤ 90°, by angle:
- hkl 1 1 0, d = 4.428 Å, I = 93
- hkl 1 1 -1, d = 3.803 Å, I = 27
- hkl 1 1 1, d = 3.398 Å, I = 100
- hkl 4 0 -1, d = 3.081 Å, I = 37
- hkl 0 0 2, d = 3.049 Å, I = 34
- hkl 3 1 -1, d = 3.038 Å, I = 63
- hkl 4 0 0, d = 2.969 Å, I = 38
- hkl 3 1 -2, d = 2.479 Å, I = 43
- hkl 0 2 0, d = 2.385 Å, I = 77
- hkl 5 1 0, d = 2.127 Å, I = 28

***

Repeat the tenth record exactly.
This entry pairs a crystal structure of LiBiF5 with its simulated powder X-ray diffraction pattern. Radiation: Cu Kα X-rays. Structure: a DFT-relaxed cell (GGA-PBE, Alexandria).

Atomic structure:
```
data_LiBiF5
_space_group_name_H-M_alt 'I -4'
_space_group_IT_number 82
_cell_length_a 7.128
_cell_length_b 7.128
_cell_length_c 4.425
_cell_angle_alpha 90.00
_cell_angle_beta 90.00
_cell_angle_gamma 90.00
loop_
_space_group_symop_operation_xyz
'x,y,z'
'y,-x,-z'
'-x,-y,z'
'-y,x,-z'
'x+1/2,y+1/2,z+1/2'
'y+1/2,-x+1/2,-z+1/2'
'-x+1/2,-y+1/2,z+1/2'
'-y+1/2,x+1/2,-z+1/2'
loop_
_atom_site_label
_atom_site_type_symbol
_atom_site_fract_x
_atom_site_fract_y
_atom_site_fract_z
Li1 Li 0.000 0.000 0.000
Bi1 Bi 0.000 0.500 0.750
F1 F 0.000 0.500 0.250
F2 F 0.081 0.211 0.771
```

Top 10 peaks for 15° ≤ 2θ ≤ 90°, by angle:
- hkl 1 1 0, d = 5.040 Å, I = 92
- hkl 1 0 1, d = 3.759 Å, I = 100
- hkl 2 0 0, d = 3.564 Å, I = 46
- hkl 2 1 1, d = 2.586 Å, I = 42
- hkl 3 1 0, d = 2.254 Å, I = 36
- hkl 3 0 1, d = 2.093 Å, I = 22
- hkl 1 1 2, d = 2.026 Å, I = 20
- hkl 3 2 1, d = 1.805 Å, I = 24
- hkl 4 1 1, d = 1.610 Å, I = 19
- hkl 3 1 2, d = 1.579 Å, I = 25